Record 1
Calculated powder XRD pattern
Compound: La2PmPr2Y
Radiation: a wavelength of 1.5418 Å
Structure: DFT lattice parameters and positions (GGA-PBE)
Kinematic intensities with the Lorentz-polarization factor, no thermal factor.

Largest 10 diffraction maxima, low angle first, 2θ = 10–80°:
Position (°2θ)	I_rel
24.73	11
30.50	84
30.68	100
39.80	18
43.81	31
54.43	32
54.55	19
60.44	29
72.41	9
77.68	14

Cell and atoms:
```
La2PmPr2Y
1.0
7.2013 0.0000 0.0000
0.0000 5.8333 0.0000
0.0000 0.0000 10.0844
La Pm Pr Y
4 2 4 2
direct
0.0000 0.0000 0.0000 La
0.2500 0.5000 0.1736 La
0.5000 0.0000 0.0000 La
0.7500 0.5000 0.8264 La
0.2500 0.0000 0.6598 Pm
0.7500 0.0000 0.3402 Pm
0.2500 0.0000 0.3325 Pr
0.2500 0.5000 0.8354 Pr
0.7500 0.0000 0.6675 Pr
0.7500 0.5000 0.1646 Pr
0.0000 0.5000 0.5000 Y
0.5000 0.5000 0.5000 Y
```

***

Record 2
Calculated powder XRD pattern
Compound: La2Pm2PrY4
Radiation: a wavelength of 1.5418 Å
Structure: DFT lattice parameters and positions (GGA-PBE)
Kinematic intensities with the Lorentz-polarization factor, no thermal factor.

Largest 10 diffraction maxima, low angle first, 2θ = 10–80°:
Position (°2θ)	I_rel
28.26	45
30.54	49
31.23	100
32.89	92
39.39	16
44.66	15
49.68	25
53.63	20
56.85	20
59.40	29

Cell and atoms:
```
La2Pm2PrY4
1.0
9.5287 -1.8390 0.0000
9.5287 1.8390 0.0000
-4.2371 0.0000 8.7813
La Pm Pr Y
2 2 1 4
direct
0.1663 0.1663 0.9999 La
0.8337 0.8337 0.0001 La
0.3522 0.3522 0.3361 Pm
0.6478 0.6478 0.6639 Pm
0.5000 0.5000 0.0000 Pr
0.0204 0.0204 0.3362 Y
0.3144 0.3144 0.6625 Y
0.6856 0.6856 0.3375 Y
0.9796 0.9796 0.6638 Y
```

***

Record 3
Calculated powder XRD pattern
Compound: LaPm2Pr3Y6
Radiation: a wavelength of 1.5418 Å
Structure: DFT lattice parameters and positions (GGA-PBE)
Kinematic intensities with the Lorentz-polarization factor, no thermal factor.

Largest 10 diffraction maxima, low angle first, 2θ = 10–80°:
Position (°2θ)	I_rel
30.07	100
30.47	32
34.97	67
50.03	24
50.55	23
59.48	14
59.70	9
59.72	19
60.18	14
62.50	12

Cell and atoms:
```
LaPm2Pr3Y6
1.0
3.1579 -5.4690 0.0000
3.1579 5.4690 0.0000
-2.0987 0.0000 11.7366
La Pm Pr Y
1 2 3 6
direct
0.0000 0.0000 0.0000 La
0.3334 0.6666 0.0000 Pm
0.6666 0.3334 0.0000 Pm
0.1670 0.8330 0.5000 Pr
0.5000 0.5000 0.5000 Pr
0.8330 0.1670 0.5000 Pr
0.0832 0.4173 0.2495 Y
0.2510 0.2510 0.7503 Y
0.4173 0.0832 0.2495 Y
0.5827 0.9168 0.7505 Y
0.7490 0.7490 0.2497 Y
0.9168 0.5827 0.7505 Y
```

***

Record 4
Calculated powder XRD pattern
Compound: La2PmPt3
Radiation: a wavelength of 1.5418 Å
Structure: DFT lattice parameters and positions (GGA-PBE)
Kinematic intensities with the Lorentz-polarization factor, no thermal factor.

Largest 10 diffraction maxima, low angle first, 2θ = 10–80°:
Position (°2θ)	I_rel
29.90	100
42.61	13
42.78	51
43.05	12
52.90	14
53.27	13
70.37	12
70.49	12
78.13	13
78.73	9

Cell and atoms:
```
La2PmPt3
1.0
0.0000 5.9861 12.6059
4.2432 0.0000 12.6059
4.2432 5.9861 0.0000
La Pm Pt
8 4 12
direct
0.0416 0.0416 0.2084 La
0.1251 0.1251 0.6249 La
0.2084 0.2084 0.0416 La
0.3751 0.3751 0.8749 La
0.6249 0.6249 0.1251 La
0.7916 0.7916 0.9584 La
0.8749 0.8749 0.3751 La
0.9584 0.9584 0.7916 La
0.2916 0.2916 0.4584 Pm
0.4584 0.4584 0.2916 Pm
0.5416 0.5416 0.7084 Pm
0.7084 0.7084 0.5416 Pm
0.0412 0.5407 0.2122 Pt
0.1280 0.6220 0.6220 Pt
0.2122 0.7059 0.0412 Pt
0.2941 0.7878 0.4593 Pt
0.3780 0.8720 0.8720 Pt
0.4593 0.9588 0.2941 Pt
0.5407 0.0412 0.7059 Pt
0.6220 0.1280 0.1280 Pt
0.7059 0.2122 0.5407 Pt
0.7878 0.2941 0.9588 Pt
0.8720 0.3780 0.3780 Pt
0.9588 0.4593 0.7878 Pt
```